Entry 1:
Calculated powder diffractogram of AcGa3PdPt for Cu Kα, from a cell relaxed with PBE.

Structure:
Lattice parameters (Å, degrees): 6.6149 12.5610 6.5167 90.00 90.00 90.00
Space group Cmcm (No. 63)
One atom of each set of equivalent atoms:
Ac (0.0000, 0.2367, 0.2500)
Ga (0.0000, 0.2048, 0.7500)
Ga (0.2096, 0.5000, 0.0000)
Pd (0.0000, 0.0162, 0.7500)
Pt (0.0000, 0.3924, 0.7500)

Largest 10 diffraction maxima, by angle, 10 to 80 degrees two-theta:
d (Å)  I (rel.)
4.522  24
3.307  47
3.258  41
3.109  100
2.892  24
2.349  28
2.321  87
1.905  42
1.868  39
1.851  23



Entry 2:
Calculated powder diffractogram of Ac2PuGa3Pd4 for Cu Kα, from a cell relaxed with PBE.

Structure:
Lattice parameters (Å, degrees): 4.5066 4.5066 10.9672 90.00 90.00 90.00
Space group P-4m2 (No. 115)
One atom of each set of equivalent atoms:
Ac (0.0000, 0.5000, 0.2326)
Pu (0.0000, 0.0000, 0.5000)
Ga (0.0000, 0.5000, 0.8870)
Ga (0.5000, 0.5000, 0.5000)
Pd (0.0000, 0.0000, 0.0000)
Pd (0.0000, 0.5000, 0.6543)
Pd (0.5000, 0.5000, 0.0000)

Largest 10 diffraction maxima, by angle, 10 to 80 degrees two-theta:
d (Å)  I (rel.)
4.168  14
2.839  40
2.755  100
2.253  49
1.972  17
1.765  20
1.593  17
1.586  11
1.484  14
1.379  29



Entry 3:
Calculated powder diffractogram of Ac3GaSb2Pd9 for Cu Kα, from a cell relaxed with PBE.

Structure:
Lattice parameters (Å, degrees): 6.8531 6.8531 9.0151 90.00 90.00 120.00
Space group P-3m1 (No. 164)
One atom of each set of equivalent atoms:
Ac (0.0000, 0.0000, 0.0000)
Ac (0.3333, 0.6667, 0.7012)
Ga (0.0000, 0.0000, 0.5000)
Sb (0.3333, 0.6667, 0.1950)
Pd (0.0000, 0.5000, 0.0000)
Pd (0.1343, 0.2686, 0.2905)

Largest 10 diffraction maxima, by angle, 10 to 80 degrees two-theta:
d (Å)  I (rel.)
3.590  23
3.427  39
3.005  20
2.819  64
2.479  100
2.109  21
2.008  28
1.795  27
1.713  28
1.409  15



Entry 4:
Calculated powder diffractogram of Ac3Ga2SnPd9 for Cu Kα, from a cell relaxed with PBE.

Structure:
Lattice parameters (Å, degrees): 5.9766 5.9766 11.1387 90.00 90.00 120.00
Space group P-3m1 (No. 164)
One atom of each set of equivalent atoms:
Ac (0.0000, 0.0000, 0.0000)
Ac (0.3333, 0.6667, 0.6284)
Ga (0.3333, 0.6667, 0.1591)
Sn (0.0000, 0.0000, 0.5000)
Pd (0.0000, 0.5000, 0.0000)
Pd (0.1665, 0.3330, 0.3164)

Largest 10 diffraction maxima, by angle, 10 to 80 degrees two-theta:
d (Å)  I (rel.)
3.791  34
3.713  51
2.988  21
2.521  66
2.452  16
2.347  100
1.896  44
1.494  26
1.386  17
1.260  14



Entry 5:
Calculated powder diffractogram of Ac2Ga4SnPd3 for Cu Kα, from a cell relaxed with PBE.

Structure:
Lattice parameters (Å, degrees): 4.4666 4.4666 10.9186 90.00 90.00 90.00
Space group P-4m2 (No. 115)
One atom of each set of equivalent atoms:
Ac (0.0000, 0.5000, 0.2380)
Ga (0.0000, 0.0000, 0.0000)
Ga (0.0000, 0.5000, 0.6474)
Ga (0.5000, 0.5000, 0.0000)
Sn (0.0000, 0.0000, 0.5000)
Pd (0.0000, 0.5000, 0.8785)
Pd (0.5000, 0.5000, 0.5000)

Largest 10 diffraction maxima, by angle, 10 to 80 degrees two-theta:
d (Å)  I (rel.)
4.134  10
3.158  17
2.821  59
2.734  100
2.233  52
1.962  27
1.751  29
1.578  30
1.474  20
1.367  26



Entry 6:
Calculated powder diffractogram of Ac2GaSnPd6 for Cu Kα, from a cell relaxed with PBE.

Structure:
Lattice parameters (Å, degrees): 5.6761 6.7734 6.9782 78.53 66.07 65.24
Space group P-1 (No. 2)
One atom of each set of equivalent atoms:
Ac (0.2454, 0.2838, 0.2251)
Ga (0.5000, 0.5000, 0.5000)
Sn (0.0000, 0.0000, 0.0000)
Pd (0.2527, 0.2585, 0.7444)
Pd (0.2536, 0.7410, 0.2568)
Pd (0.2542, 0.9009, 0.5921)

Largest 10 diffraction maxima, by angle, 10 to 80 degrees two-theta:
d (Å)  I (rel.)
3.302  70
3.238  60
3.190  84
3.073  35
2.401  89
2.377  100
2.272  60
2.252  76
2.210  51
1.651  33



Entry 7:
Calculated powder diffractogram of Ac2TlGaPd6 for Cu Kα, from a cell relaxed with PBE.

Structure:
Lattice parameters (Å, degrees): 12.2148 5.6660 8.8726 90.00 133.40 90.00
Space group C2/m (No. 12)
One atom of each set of equivalent atoms:
Ac (0.2471, 0.0000, 0.2750)
Tl (0.0000, 0.0000, 0.5000)
Ga (0.0000, 0.5000, 0.0000)
Pd (0.0072, 0.2522, 0.2440)
Pd (0.2468, 0.5000, 0.0809)

Largest 10 diffraction maxima, by angle, 10 to 80 degrees two-theta:
d (Å)  I (rel.)
3.298  58
3.223  15
3.203  76
2.387  100
2.304  52
2.217  64
2.210  38
1.649  23
1.602  19
1.315  15



Entry 8:
Calculated powder diffractogram of Ac2YGa4Pd3 for Cu Kα, from a cell relaxed with PBE.

Structure:
Lattice parameters (Å, degrees): 4.3681 4.3681 11.9117 90.00 90.00 90.00
Space group P-4m2 (No. 115)
One atom of each set of equivalent atoms:
Ac (0.0000, 0.5000, 0.2266)
Y (0.0000, 0.0000, 0.5000)
Ga (0.0000, 0.0000, 0.0000)
Ga (0.0000, 0.5000, 0.6628)
Ga (0.5000, 0.5000, 0.0000)
Pd (0.0000, 0.5000, 0.8794)
Pd (0.5000, 0.5000, 0.5000)

Largest 10 diffraction maxima, by angle, 10 to 80 degrees two-theta:
d (Å)  I (rel.)
3.089  21
2.938  59
2.742  100
2.461  17
2.184  51
2.092  24
1.753  26
1.544  17
1.511  17
1.346  22



Entry 9:
Calculated powder diffractogram of AcZrGa2Pd4 for Cu Kα, from a cell relaxed with PBE.

Structure:
Lattice parameters (Å, degrees): 4.0566 4.0566 9.8554 90.00 90.00 90.00
Space group P4/mmm (No. 123)
One atom of each set of equivalent atoms:
Ac (0.0000, 0.0000, 0.0000)
Zr (0.0000, 0.0000, 0.5000)
Ga (0.5000, 0.5000, 0.3805)
Pd (0.0000, 0.5000, 0.2337)

Largest 10 diffraction maxima, by angle, 10 to 80 degrees two-theta:
d (Å)  I (rel.)
3.751  29
3.132  31
2.479  100
2.464  14
2.161  15
2.106  23
2.028  39
1.566  14
1.461  14
1.241  22



Entry 10:
Calculated powder diffractogram of Ac2Pm5Ga4 for Cu Kα, from a cell relaxed with PBE.

Structure:
Lattice parameters (Å, degrees): 13.9310 6.9328 9.3175 90.00 130.98 90.00
Space group C2/m (No. 12)
One atom of each set of equivalent atoms:
Ac (0.2050, 0.0000, 0.2542)
Pm (0.0000, 0.5000, 0.0000)
Pm (0.0302, 0.2380, 0.7055)
Ga (0.2101, 0.0000, 0.6288)
Ga (0.2301, 0.5000, 0.0371)

Largest 10 diffraction maxima, by angle, 10 to 80 degrees two-theta:
d (Å)  I (rel.)
3.841  44
3.517  34
3.101  61
2.964  89
2.894  100
2.781  56
2.629  34
2.265  37
1.920  49
1.496  38



Entry 11:
Calculated powder diffractogram of AcPmGa3 for Cu Kα, from a cell relaxed with PBE.

Structure:
Lattice parameters (Å, degrees): 4.5775 26.4934 4.3275 90.00 90.00 90.00
Space group Cmcm (No. 63)
One atom of each set of equivalent atoms:
Ac (0.0000, 0.0745, 0.2500)
Pm (0.0000, 0.2033, 0.7500)
Ga (0.0000, 0.3225, 0.7500)
Ga (0.0000, 0.3780, 0.2500)
Ga (0.0000, 0.4757, 0.2500)

Largest 10 diffraction maxima, by angle, 10 to 80 degrees two-theta:
d (Å)  I (rel.)
3.623  25
2.962  100
2.917  52
2.704  17
2.289  25
2.260  31
2.164  21
1.738  23
1.608  21
1.572  15



Entry 12:
Calculated powder diffractogram of AcPm2Zn2Ga2 for Cu Kα, from a cell relaxed with PBE.

Structure:
Lattice parameters (Å, degrees): 4.5462 4.5462 29.8323 90.00 90.00 120.00
Space group R-3m (No. 166, hexagonal axes)
One atom of each set of equivalent atoms:
Ac (0.0000, 0.0000, 0.0000)
Pm (0.0000, 0.0000, 0.1299)
Zn (0.0000, 0.0000, 0.4094)
Ga (0.0000, 0.0000, 0.2558)

Largest 10 diffraction maxima, by angle, 10 to 80 degrees two-theta:
d (Å)  I (rel.)
3.903  51
2.892  100
2.707  90
2.273  92
1.787  25
1.741  24
1.497  34
1.405  22
1.382  23
1.312  16